# CdTc2NiO8
Computed powder XRD pattern, λ = 1.5418 Å (Cu Kα). Input: a DFT-relaxed cell (GGA+U, Alexandria).

Main lines, most intense first (10° ≤ 2θ ≤ 90°):
two_theta  I (rel.)
31.3  100
25.5  94
48.7  62
59.0  29
36.3  25
52.3  20
85.6  17
65.3  17

Structure:
a = 6.9955 Å, b = 6.9955 Å, c = 7.0000 Å
α = 90.00°, β = 90.00°, γ = 90.00°
Space group I-4m2 (No. 119)
Symmetry-distinct sites (fractional):
Cd: 0.0000 0.0000 0.0000 [2 per cell]
Tc: 0.0000 0.0000 0.5000 [2 per cell]
Tc: 0.0000 0.5000 0.7500 [2 per cell]
Ni: 0.0000 0.5000 0.2500 [2 per cell]
O: 0.0000 0.2044 0.3496 [8 per cell]
O: 0.0000 0.2991 0.9019 [8 per cell]